[1]
This entry pairs a crystal structure of CeGePt with its simulated powder diffraction line list. Radiation: Cu Kα. Structure: the GGA-PBE geometry in the Materials Project.

Top 10 peaks for 2θ from 10° to 80°, by angle:
two_theta  Rel. int.
23.67  18.0
32.92  30.4
33.63  100.0
33.75  43.9
38.72  22.6
40.06  41.8
40.35  65.9
53.35  23.9
56.93  15.6
64.99  19.5

Crystal structure
```
data_CeGePt
_chemical_formula_sum 'Ce8 Ge8 Pt8'
_cell_length_a 4.502
_cell_length_b 14.631
_cell_length_c 7.725
_cell_angle_alpha 90.00
_cell_angle_beta 90.00
_cell_angle_gamma 90.00
_symmetry_space_group_name_H-M 'P m m n'
_symmetry_Int_Tables_number 59
loop_
_symmetry_equiv_pos_as_xyz
'x,y,z'
'-x,-y,-z'
'-x+1/2,-y+1/2,z'
'x+1/2,y+1/2,-z'
'x+1/2,-y,-z'
'-x+1/2,y,z'
'-x,y+1/2,-z'
'x,-y+1/2,z'
loop_
_atom_site_label
_atom_site_type_symbol
_atom_site_fract_x
_atom_site_fract_y
_atom_site_fract_z
Ce1 Ce 0.250 0.003 0.211
Ce2 Ce 0.250 0.250 0.297
Ce3 Ce 0.250 0.750 0.293
Ge1 Ge 0.250 0.101 0.589
Ge2 Ge 0.250 0.655 0.912
Pt1 Pt 0.250 0.141 0.921
Pt2 Pt 0.250 0.601 0.584
```

***

[2]
This entry pairs a crystal structure of Na6TaAl3Si2P4O24 with its simulated powder diffraction line list. Radiation: Cu Kα. Structure: the GGA-PBE geometry in the Materials Project.

Top 10 peaks for 2θ from 10° to 80°, by angle:
two_theta  Rel. int.
12.31  50.0
12.42  75.9
14.28  98.9
20.12  69.4
20.29  64.0
23.75  100.0
23.94  62.5
32.09  70.7
32.23  41.9
35.66  49.4

Crystal structure
```
data_Na6TaAl3Si2P4O24
_chemical_formula_sum 'Na6 Ta1 Al3 Si2 P4 O24'
_cell_length_a 8.711
_cell_length_b 8.737
_cell_length_c 8.761
_cell_angle_alpha 60.55
_cell_angle_beta 60.71
_cell_angle_gamma 60.23
_symmetry_space_group_name_H-M 'P 1'
_symmetry_Int_Tables_number 1
loop_
_symmetry_equiv_pos_as_xyz
'x,y,z'
loop_
_atom_site_label
_atom_site_type_symbol
_atom_site_fract_x
_atom_site_fract_y
_atom_site_fract_z
Na1 Na 0.000 0.000 0.000
Na2 Na 0.102 0.396 0.751
Na3 Na 0.381 0.739 0.779
Na4 Na 0.502 0.507 0.488
Na5 Na 0.624 0.268 0.202
Na6 Na 0.891 0.627 0.231
Ta1 Ta 0.147 0.151 0.552
Al1 Al 0.361 0.358 0.925
Al2 Al 0.644 0.653 0.050
Al3 Al 0.859 0.855 0.428
Si1 Si 0.254 0.559 0.231
Si2 Si 0.743 0.473 0.737
P1 P 0.033 0.751 0.746
P2 P 0.479 0.045 0.734
P3 P 0.544 0.963 0.231
P4 P 0.967 0.254 0.223
O1 O 0.016 0.210 0.395
O2 O 0.067 0.740 0.257
O3 O 0.074 0.916 0.732
O4 O 0.132 0.290 0.048
O5 O 0.218 0.582 0.749
O6 O 0.220 0.368 0.418
O7 O 0.276 0.511 0.062
O8 O 0.290 0.060 0.727
O9 O 0.378 0.985 0.416
O10 O 0.431 0.231 0.752
O11 O 0.441 0.568 0.219
O12 O 0.496 0.139 0.071
O13 O 0.511 0.871 0.902
O14 O 0.563 0.444 0.757
O15 O 0.579 0.779 0.218
O16 O 0.635 0.023 0.552
O17 O 0.721 0.952 0.245
O18 O 0.728 0.499 0.916
O19 O 0.785 0.647 0.550
O20 O 0.787 0.427 0.227
O21 O 0.872 0.715 0.927
O22 O 0.927 0.089 0.248
O23 O 0.928 0.275 0.723
O24 O 0.991 0.796 0.575
```

***

[3]
This entry pairs a crystal structure of Mg2ScCr3S8 with its simulated powder diffraction line list. Radiation: Cu Kα. Structure: the GGA-PBE geometry in the Materials Project.

Top 10 peaks for 2θ from 10° to 80°, by angle:
two_theta  Rel. int.
14.85  70.0
24.36  10.6
28.63  69.9
34.71  100.0
45.60  46.6
49.82  50.5
49.97  45.3
62.14  14.3
69.82  10.0
73.24  12.6

Crystal structure
```
data_Mg2ScCr3S8
_chemical_formula_sum 'Mg6 Sc3 Cr9 S24'
_cell_length_a 7.3209
_cell_length_b 7.3209
_cell_length_c 17.8596
_cell_angle_alpha 90.00
_cell_angle_beta 90.00
_cell_angle_gamma 120.00
_symmetry_space_group_name_H-M 'R -3 m'
_symmetry_Int_Tables_number 166
_symmetry_space_group_name_Hall '-R 3 2"'
loop_
_atom_site_label
_atom_site_type_symbol
_atom_site_fract_x
_atom_site_fract_y
_atom_site_fract_z
Mg1 Mg 0.0000 0.0000 0.1244
Sc1 Sc 0.0000 0.0000 0.5000
Cr1 Cr 0.0000 0.5000 0.0000
S1 S 0.0000 0.0000 0.2638
S2 S 0.0244 0.5122 0.2587
```